Simulated powder diffraction line list of Tl3Co3O8 for copper Kα, from a structure optimized by DFT (PBE+U).
Kinematic intensities with the Lorentz-polarization factor, no thermal factor.

abc: 5.5253 5.5192 11.4894
angles: 90.00 91.04 90.00
Sites, in units of the cell vectors:
Tl1 0.2308 0.0000 0.3213
Tl2 0.2363 0.0938 0.0033
Tl3 0.2426 0.9985 0.6781
Tl4 0.7574 0.4985 0.3219
Tl5 0.7637 0.5938 0.9967
Tl6 0.7692 0.5000 0.6787
Co1 0.2520 0.5497 0.1693
Co2 0.2626 0.5452 0.8303
Co3 0.2970 0.4920 0.5027
Co4 0.7030 0.9920 0.4973
Co5 0.7374 0.0452 0.1697
Co6 0.7480 0.0497 0.8307
O1 0.0449 0.8601 0.8667
O2 0.0632 0.8442 0.1358
O3 0.1380 0.6045 0.3596
O4 0.1600 0.5958 0.6522
O5 0.3650 0.4869 0.9978
O6 0.3701 0.1355 0.4991
O7 0.4370 0.2664 0.2168
O8 0.4726 0.2508 0.7802
O9 0.5274 0.7508 0.2198
O10 0.5630 0.7664 0.7832
O11 0.6299 0.6355 0.5009
O12 0.6350 0.9869 0.0022
O13 0.8400 0.0958 0.3478
O14 0.8620 0.1045 0.6404
O15 0.9368 0.3442 0.8642
O16 0.9551 0.3601 0.1333

Principal peaks in the range 5° ≤ 2θ ≤ 70°, by angle:
d [Å]	I/Imax	hkl
3.904	65	1 1 0
3.829	34	0 0 3
2.761	99	2 0 0
2.752	100	1 1 -3
2.716	92	1 1 3
1.952	38	2 2 0